[1]
Theoretical powder XRD pattern of Sm7Tl2Ga for Cu Ka, from a GGA-PBE-relaxed structure.

Crystal structure
Cell: 5.3068 5.3068 12.9898 Å, 90.00 90.00 120.00°
Atoms (fractional coordinates):
Sm1 0.0000 0.0000 0.0000
Sm2 0.0000 0.0000 0.2548
Sm3 0.0000 0.0000 0.7324
Sm4 0.3333 0.6667 0.3931
Sm5 0.3333 0.6667 0.8884
Sm6 0.6667 0.3333 0.1283
Sm7 0.6667 0.3333 0.5748
Tl1 0.0000 0.0000 0.4929
Tl2 0.6667 0.3333 0.8429
Ga1 0.3333 0.6667 0.1412

Peak list (10 most intense, 2θ = 10–80°, by angle)
2θ/deg	d_spacing	I/Imax
19.31	4.596	5
20.50	4.332	11
23.72	3.752	9
28.32	3.152	8
33.79	2.653	100
39.85	2.262	7
48.53	1.876	18
60.44	1.532	32
67.65	1.385	5
71.06	1.327	8



[2]
Theoretical powder XRD pattern of Sm5Tl2Ga for Cu Ka, from a GGA-PBE-relaxed structure.

Crystal structure
Cell: 6.8885 13.1351 5.1688 Å, 90.00 90.00 90.00°
Atoms (fractional coordinates):
Sm1 0.0000 0.0000 0.0000
Sm2 0.1330 0.2810 0.0000
Sm3 0.1655 0.5926 0.5000
Sm4 0.3345 0.0926 0.5000
Sm5 0.3670 0.7810 0.0000
Sm6 0.5000 0.5000 0.0000
Sm7 0.6330 0.2190 0.0000
Sm8 0.6655 0.9074 0.5000
Sm9 0.8345 0.4074 0.5000
Sm10 0.8670 0.7190 0.0000
Tl1 0.1180 0.8455 0.5000
Tl2 0.3820 0.3455 0.5000
Tl3 0.6180 0.6545 0.5000
Tl4 0.8820 0.1545 0.5000
Ga1 0.0000 0.5000 0.0000
Ga2 0.5000 0.0000 0.0000

Peak list (10 most intense, 2θ = 10–80°, by angle)
2θ/deg	d_spacing	I/Imax
29.72	3.006	41
30.15	2.964	28
31.96	2.800	100
32.30	2.772	73
33.09	2.707	28
34.71	2.584	51
46.63	1.948	17
48.71	1.869	19
60.49	1.530	17
60.70	1.526	30



[3]
Theoretical powder XRD pattern of Sm6Tl5Ga for Cu Ka, from a GGA-PBE-relaxed structure.

Crystal structure
Cell: 5.4333 7.6095 8.5887 Å, 90.00 108.25 90.00°
Atoms (fractional coordinates):
Sm1 0.0000 0.2416 0.0000
Sm2 0.0000 0.7584 0.0000
Sm3 0.3381 0.2464 0.6763
Sm4 0.3381 0.7536 0.6763
Sm5 0.6619 0.2464 0.3237
Sm6 0.6619 0.7536 0.3237
Tl1 0.1686 0.5000 0.3373
Tl2 0.1699 0.0000 0.3397
Tl3 0.5000 0.5000 0.0000
Tl4 0.8301 0.0000 0.6603
Tl5 0.8314 0.5000 0.6627
Ga1 0.5000 0.0000 0.0000

Peak list (10 most intense, 2θ = 10–80°, by angle)
2θ/deg	d_spacing	I/Imax
32.96	2.718	51
33.13	2.704	100
47.22	1.925	9
47.38	1.919	9
47.81	1.902	9
58.91	1.568	19
59.02	1.565	19
59.29	1.558	19
78.67	1.216	6
79.60	1.204	8



[4]
Theoretical powder XRD pattern of Sm4TlGa for Cu Ka, from a GGA-PBE-relaxed structure.

Crystal structure
Cell: 5.3147 6.8347 9.4344 Å, 90.00 90.00 90.00°
Atoms (fractional coordinates):
Sm1 0.2500 0.0057 0.2193
Sm2 0.2500 0.2500 0.9117
Sm3 0.2500 0.4943 0.2193
Sm4 0.2500 0.7500 0.5872
Sm5 0.7500 0.2500 0.4128
Sm6 0.7500 0.5057 0.7807
Sm7 0.7500 0.7500 0.0883
Sm8 0.7500 0.9943 0.7807
Tl1 0.2500 0.2500 0.5833
Tl2 0.7500 0.7500 0.4167
Ga1 0.2500 0.7500 0.9160
Ga2 0.7500 0.2500 0.0840

Peak list (10 most intense, 2θ = 10–80°, by angle)
2θ/deg	d_spacing	I/Imax
32.35	2.767	44
32.56	2.750	100
33.10	2.706	94
33.73	2.657	50
47.43	1.917	32
58.92	1.567	15
59.59	1.551	18
59.93	1.543	17
64.49	1.445	27
64.88	1.437	15



[5]
Theoretical powder XRD pattern of Sm4TmGa4 for Cu Ka, from a GGA-PBE-relaxed structure.

Crystal structure
Cell: 7.5910 7.5910 7.5910 Å, 95.58 95.58 143.65°
Atoms (fractional coordinates):
Sm1 0.1322 0.6462 0.7783
Sm2 0.3538 0.1322 0.4860
Sm3 0.6462 0.8678 0.5140
Sm4 0.8678 0.3538 0.2217
Tm1 0.0000 0.0000 0.0000
Ga1 0.3317 0.4299 0.7615
Ga2 0.4299 0.6683 0.0982
Ga3 0.5701 0.3317 0.9018
Ga4 0.6683 0.5701 0.2385

Peak list (10 most intense, 2θ = 10–80°, by angle)
2θ/deg	d_spacing	I/Imax
27.14	3.285	100
27.66	3.225	46
32.42	2.762	17
35.20	2.550	16
37.02	2.429	64
38.00	2.368	31
41.17	2.193	31
47.64	1.909	21
58.38	1.581	15
70.29	1.339	13



[6]
Theoretical powder XRD pattern of Sm3Y3Ga4 for Cu Ka, from a GGA-PBE-relaxed structure.

Crystal structure
Cell: 4.4210 7.7174 7.7174 Å, 90.46 90.00 90.00°
Atoms (fractional coordinates):
Sm1 0.0000 0.0000 0.0000
Sm2 0.0000 0.1538 0.5026
Sm3 0.0000 0.5026 0.1538
Y1 0.0000 0.6518 0.6518
Y2 0.5000 0.3274 0.8284
Y3 0.5000 0.8284 0.3274
Ga1 0.5000 0.2089 0.2089
Ga2 0.5000 0.4498 0.4498
Ga3 0.5000 0.7068 0.9442
Ga4 0.5000 0.9442 0.7068

Peak list (10 most intense, 2θ = 10–80°, by angle)
2θ/deg	d_spacing	I/Imax
25.94	3.435	19
30.76	2.907	86
32.86	2.726	99
32.99	2.715	100
36.74	2.446	31
36.92	2.435	32
40.82	2.211	38
53.24	1.721	18
56.07	1.640	18
56.21	1.637	19



[7]
Theoretical powder XRD pattern of Sm4YGa4 for Cu Ka, from a GGA-PBE-relaxed structure.

Crystal structure
Cell: 7.6035 7.6035 7.6035 Å, 95.66 95.66 143.38°
Atoms (fractional coordinates):
Sm1 0.1322 0.6453 0.7775
Sm2 0.3547 0.1322 0.4869
Sm3 0.6453 0.8678 0.5131
Sm4 0.8678 0.3547 0.2225
Y1 0.0000 0.0000 0.0000
Ga1 0.3306 0.4293 0.7599
Ga2 0.4293 0.6694 0.0987
Ga3 0.5707 0.3306 0.9013
Ga4 0.6694 0.5707 0.2401

Peak list (10 most intense, 2θ = 10–80°, by angle)
2θ/deg	d_spacing	I/Imax
27.02	3.301	100
27.63	3.228	36
35.16	2.552	23
36.90	2.436	60
37.66	2.389	30
41.06	2.198	27
47.34	1.920	16
52.47	1.744	15
58.27	1.583	14
70.24	1.340	16



[8]
Theoretical powder XRD pattern of SmY2Ga4 for Cu Ka, from a GGA-PBE-relaxed structure.

Crystal structure
Cell: 4.1545 4.3019 18.2965 Å, 90.00 90.00 90.00°
Atoms (fractional coordinates):
Sm1 0.0000 0.0000 0.0000
Sm2 0.5000 0.5000 0.5000
Y1 0.0000 0.5000 0.3154
Y2 0.0000 0.5000 0.6846
Y3 0.5000 0.0000 0.1846
Y4 0.5000 0.0000 0.8154
Ga1 0.0000 0.0000 0.4328
Ga2 0.0000 0.0000 0.5672
Ga3 0.0000 0.5000 0.1469
Ga4 0.0000 0.5000 0.8531
Ga5 0.5000 0.0000 0.3531
Ga6 0.5000 0.0000 0.6469
Ga7 0.5000 0.5000 0.0672
Ga8 0.5000 0.5000 0.9328

Peak list (10 most intense, 2θ = 10–80°, by angle)
2θ/deg	d_spacing	I/Imax
31.49	2.841	100
32.11	2.787	45
35.90	2.502	30
40.79	2.212	34
42.01	2.151	26
43.57	2.077	23
55.14	1.666	19
59.98	1.542	22
62.12	1.494	16
70.17	1.341	14



[9]
Theoretical powder XRD pattern of Sm5YGa6 for Cu Ka, from a GGA-PBE-relaxed structure.

Crystal structure
Cell: 8.9119 8.9119 5.1388 Å, 106.71 106.71 120.14°
Atoms (fractional coordinates):
Sm1 0.0000 0.0000 0.0000
Sm2 0.1657 0.8343 0.5000
Sm3 0.3311 0.6689 0.0000
Sm4 0.6689 0.3311 0.0000
Sm5 0.8343 0.1657 0.5000
Y1 0.5000 0.5000 0.5000
Ga1 0.0886 0.4183 0.2534
Ga2 0.2567 0.2567 0.7564
Ga3 0.4183 0.0886 0.2534
Ga4 0.5817 0.9114 0.7466
Ga5 0.7433 0.7433 0.2436
Ga6 0.9114 0.5817 0.7466

Peak list (10 most intense, 2θ = 10–80°, by angle)
2θ/deg	d_spacing	I/Imax
24.48	3.636	12
34.90	2.571	100
43.09	2.099	4
50.18	1.818	18
56.54	1.628	2
56.63	1.625	3
62.55	1.485	27
62.66	1.483	9
73.63	1.287	5
73.76	1.285	5



[10]
Theoretical powder XRD pattern of Sm2YGa for Cu Ka, from a GGA-PBE-relaxed structure.

Crystal structure
Cell: 3.7055 9.8735 6.6527 Å, 90.00 106.16 90.00°
Atoms (fractional coordinates):
Sm1 0.1362 0.0487 0.2726
Sm2 0.1362 0.4513 0.2726
Sm3 0.8638 0.5487 0.7274
Sm4 0.8638 0.9513 0.7274
Y1 0.4436 0.2500 0.8885
Y2 0.5564 0.7500 0.1115
Ga1 0.2441 0.7500 0.4861
Ga2 0.7559 0.2500 0.5139

Peak list (10 most intense, 2θ = 10–80°, by angle)
2θ/deg	d_spacing	I/Imax
30.55	2.926	79
30.98	2.887	100
32.01	2.796	73
33.31	2.690	56
33.41	2.682	72
37.21	2.416	51
49.19	1.852	34
57.10	1.613	30
59.01	1.565	24
60.76	1.524	26



[11]
Theoretical powder XRD pattern of SmZn2Ga2 for Cu Ka, from a GGA-PBE-relaxed structure.

Crystal structure
Cell: 4.2148 4.2148 10.6374 Å, 90.00 90.00 90.00°
Atoms (fractional coordinates):
Sm1 0.2500 0.2500 0.2493
Sm2 0.7500 0.7500 0.7507
Zn1 0.2500 0.2500 0.6372
Zn2 0.2500 0.7500 0.0000
Zn3 0.7500 0.2500 0.0000
Zn4 0.7500 0.7500 0.3628
Ga1 0.2500 0.2500 0.8643
Ga2 0.2500 0.7500 0.5000
Ga3 0.7500 0.2500 0.5000
Ga4 0.7500 0.7500 0.1357

Peak list (10 most intense, 2θ = 10–80°, by angle)
2θ/deg	d_spacing	I/Imax
29.98	2.980	16
33.01	2.713	59
34.50	2.600	100
42.92	2.107	53
47.90	1.899	31
55.19	1.664	27
60.79	1.524	10
62.31	1.490	17
66.24	1.411	23
73.21	1.293	21



[12]
Theoretical powder XRD pattern of Sm3Zn7Ga4 for Cu Ka, from a GGA-PBE-relaxed structure.

Crystal structure
Cell: 8.2609 8.2609 9.4649 Å, 124.83 124.83 30.42°
Atoms (fractional coordinates):
Sm1 0.0000 0.0000 0.0000
Sm2 0.3009 0.3009 0.3010
Sm3 0.6991 0.6991 0.6990
Zn1 0.0000 0.0000 0.5000
Zn2 0.1445 0.1445 0.4220
Zn3 0.3438 0.3438 0.9814
Zn4 0.4986 0.4986 0.6906
Zn5 0.5014 0.5014 0.3094
Zn6 0.6562 0.6562 0.0186
Zn7 0.8555 0.8555 0.5780
Ga1 0.1425 0.1425 0.8628
Ga2 0.3449 0.3449 0.7149
Ga3 0.6551 0.6551 0.2851
Ga4 0.8575 0.8575 0.1372

Peak list (10 most intense, 2θ = 10–80°, by angle)
2θ/deg	d_spacing	I/Imax
29.31	3.047	15
33.72	2.658	19
35.03	2.562	100
35.18	2.551	32
35.33	2.540	23
36.07	2.490	24
37.95	2.371	22
41.67	2.167	38
42.19	2.142	20
60.79	1.524	16



- Number 12 is which compound?
  Sm3Zn7Ga4